No. 1
The following is a calculated powder diffraction line list of UNi5Pt. It was derived from a structure optimized by DFT (GGA-PBE), using Cu Kα, 1.54184 Å.
Kinematic intensities with the Lorentz-polarization factor, no thermal factor.

Most intense lines, 15 to 90 degrees two-theta, low angle first:
d [Å]  Rel. int.  hkl
2.737  296  0 1 3
2.587  253  1 1 3
2.394  263  1 0 4
2.374  281  0 2 0
2.251  1000  2 1 3
2.098  234  3 1 2
1.937  209  2 1 4
1.353  210  1 1 7

Structural model:
```
data_UNi5Pt
_chemical_formula_sum 'U4 Ni20 Pt4'
_symmetry_space_group_name_H-M 'P n m a'
_symmetry_Int_Tables_number 62
_symmetry_space_group_name_Hall '-P 2ac 2n'
_cell_length_a 7.928
_cell_length_b 4.747
_cell_length_c 10.046
_cell_angle_alpha 90.00
_cell_angle_beta 90.00
_cell_angle_gamma 90.00
loop_
_atom_site_label
_atom_site_type_symbol
_atom_site_fract_x
_atom_site_fract_y
_atom_site_fract_z
_atom_site_occupancy
U1 U 0.242 0.250 0.064 1
Ni1 Ni 0.032 0.750 0.098 1
Ni2 Ni 0.062 0.004 0.309 1
Ni3 Ni 0.086 0.250 0.516 1
Ni4 Ni 0.196 0.250 0.736 1
Pt1 Pt 0.150 0.750 0.862 1
```

---

No. 2
The following is a calculated powder diffraction line list of UNi4Pt3. It was derived from a structure optimized by DFT (GGA-PBE), using Cu Kα, 1.54184 Å.
Kinematic intensities with the Lorentz-polarization factor, no thermal factor.

Most intense lines, 15 to 90 degrees two-theta, low angle first:
d [Å]  Rel. int.  hkl
3.190  443  2 0 1
2.795  211  0 2 0
2.310  255  1 2 1
2.240  190  1 0 2
2.200  418  4 0 0
2.102  1000  2 2 1
2.050  238  2 0 2
1.251  187  6 2 1

Structural model:
```
data_UNi4Pt3
_chemical_formula_sum 'U2 Ni8 Pt6'
_symmetry_space_group_name_H-M 'P m m a'
_symmetry_Int_Tables_number 51
_symmetry_space_group_name_Hall '-P 2a 2a'
_cell_length_a 8.800
_cell_length_b 5.591
_cell_length_c 4.633
_cell_angle_alpha 90.00
_cell_angle_beta 90.00
_cell_angle_gamma 90.00
loop_
_atom_site_label
_atom_site_type_symbol
_atom_site_fract_x
_atom_site_fract_y
_atom_site_fract_z
_atom_site_occupancy
U1 U 0.000 0.000 0.000 1
Ni1 Ni 0.000 0.257 0.500 1
Ni2 Ni 0.250 0.262 0.153 1
Pt1 Pt 0.000 0.500 0.000 1
Pt2 Pt 0.250 0.000 0.614 1
Pt3 Pt 0.250 0.500 0.651 1
```

---

No. 3
The following is a calculated powder diffraction line list of V3Ni4Pt. It was derived from a structure optimized by DFT (GGA-PBE), using Cu Kα, 1.54184 Å.
Kinematic intensities with the Lorentz-polarization factor, no thermal factor.

Most intense lines, 15 to 90 degrees two-theta, low angle first:
d [Å]  Rel. int.  hkl
3.519  225  1 0 1
2.933  124  1 0 3
2.115  1000  1 1 4
1.876  169  0 0 8
1.810  303  2 0 0
1.303  191  2 0 8
1.124  118  1 1 12
1.095  223  3 1 4

Structural model:
```
data_V3Ni4Pt
_chemical_formula_sum 'V6 Ni8 Pt2'
_symmetry_space_group_name_H-M 'I 4/m m m'
_symmetry_Int_Tables_number 139
_symmetry_space_group_name_Hall '-I 4 2'
_cell_length_a 3.620
_cell_length_b 3.620
_cell_length_c 15.012
_cell_angle_alpha 90.00
_cell_angle_beta 90.00
_cell_angle_gamma 90.00
loop_
_atom_site_label
_atom_site_type_symbol
_atom_site_fract_x
_atom_site_fract_y
_atom_site_fract_z
_atom_site_occupancy
V1 V 0.000 0.000 0.000 1
V2 V 0.000 0.000 0.254 1
Ni1 Ni 0.000 0.500 0.126 1
Pt1 Pt 0.000 0.000 0.500 1
```

---

No. 4
The following is a calculated powder diffraction line list of V2Ni6Pt. It was derived from a structure optimized by DFT (GGA-PBE), using Cu Kα, 1.54184 Å.
Kinematic intensities with the Lorentz-polarization factor, no thermal factor.

Most intense lines, 15 to 90 degrees two-theta, low angle first:
d [Å]  Rel. int.  hkl
3.811  106  0 2 2
3.315  152  1 1 1
2.091  1000  1 3 3
1.841  167  2 0 0
1.834  162  0 0 6
1.761  142  0 6 0
1.105  118  3 3 3
1.102  116  1 3 9

Structural model:
```
data_V2Ni6Pt
_chemical_formula_sum 'V8 Ni24 Pt4'
_symmetry_space_group_name_H-M 'F m m m'
_symmetry_Int_Tables_number 69
_symmetry_space_group_name_Hall '-F 2 2'
_cell_length_a 3.682
_cell_length_b 10.565
_cell_length_c 11.004
_cell_angle_alpha 90.00
_cell_angle_beta 90.00
_cell_angle_gamma 90.00
loop_
_atom_site_label
_atom_site_type_symbol
_atom_site_fract_x
_atom_site_fract_y
_atom_site_fract_z
_atom_site_occupancy
V1 V 0.000 0.000 0.164 1
Ni1 Ni 0.000 0.166 0.328 1
Ni2 Ni 0.000 0.172 0.000 1
Pt1 Pt 0.000 0.000 0.500 1
```